# 1
Simulated X-ray powder pattern of ScGa6Co6 for λ = 1.5418 Å (Cu Kα), from a GGA-PBE-relaxed structure.
Peak positions follow from Bragg's law for the DFT cell and can differ from measured ones.

Main lines, low angle first (10 to 80 degrees two-theta):
d = 6.150 Å, rel. 15, hkl 0 0 2; d = 6.058 Å, rel. 13, hkl 0 2 0; d = 4.316 Å, rel. 28, hkl 0 2 2; d = 2.159 Å, rel. 100, hkl 0 4 4; d = 2.127 Å, rel. 50, hkl 2 2 2; d = 2.019 Å, rel. 15, hkl 0 6 0; d = 1.942 Å, rel. 14, hkl 0 2 6; d = 1.930 Å, rel. 26, hkl 1 3 5; d = 1.919 Å, rel. 21, hkl 0 6 2; d = 1.914 Å, rel. 44, hkl 2 0 4; d = 1.902 Å, rel. 49, hkl 2 4 0; d = 1.240 Å, rel. 15, hkl 2 6 6

Structure:
abc: 4.889 12.116 12.301
angles: 90.00 90.00 90.00
Space group Fmmm (No. 69)
Unique sites:
Sc 0.000 0.000 0.000
Ga 0.000 0.138 0.378
Ga 0.250 0.000 0.250
Co 0.000 0.165 0.174
Co 0.250 0.250 0.000

# 2
Simulated X-ray powder pattern of Zr2SN2 for λ = 1.5418 Å (Cu Kα), from a GGA-PBE-relaxed structure.
Peak positions follow from Bragg's law for the DFT cell and can differ from measured ones.

Main lines, low angle first (10 to 80 degrees two-theta):
d = 3.230 Å, rel. 32, hkl 0 0 4; d = 3.158 Å, rel. 30, hkl 1 0 0; d = 3.068 Å, rel. 76, hkl 1 0 1; d = 2.837 Å, rel. 39, hkl 1 0 2; d = 2.547 Å, rel. 100, hkl 1 0 3; d = 2.258 Å, rel. 54, hkl 1 0 4; d = 2.154 Å, rel. 23, hkl 0 0 6; d = 1.824 Å, rel. 63, hkl 1 1 0; d = 1.594 Å, rel. 36, hkl 1 0 7; d = 1.588 Å, rel. 23, hkl 1 1 4; d = 1.483 Å, rel. 19, hkl 2 0 3; d = 1.392 Å, rel. 31, hkl 1 1 6

Structure:
abc: 3.6470 3.6470 12.9216
angles: 90.00 90.00 120.00
Space group P6_3/mmc (No. 194)
Unique sites:
Zr 0.3333 0.6667 0.1025
S 0.0000 0.0000 0.2500
N 0.3333 0.6667 0.5682